Diffraction record for VOsPbO6. The powder diffraction line list is theoretical, not measured: it uses the PBE+U geometry in Alexandria and Cu Ka.

Cell and atoms:
```
data_VOsPbO6
_cell_length_a 7.0186
_cell_length_b 7.1961
_cell_length_c 10.4362
_cell_angle_alpha 90.00
_cell_angle_beta 90.00
_cell_angle_gamma 90.00
_space_group_name_H-M_alt 'I m m a'
_space_group_IT_number 74
_space_group_name_Hall '-I 2b 2'
loop_
_atom_site_label
_atom_site_type_symbol
_atom_site_fract_x
_atom_site_fract_y
_atom_site_fract_z
V1 V 0.2500 0.2500 0.2500
Os1 Os 0.0000 0.0000 0.0000
Pb1 Pb 0.0000 0.2500 0.5270
O1 O 0.0000 0.2500 0.3103
O2 O 0.0000 0.2500 0.9394
O3 O 0.2029 0.0607 0.1171
```

Principal peaks in the range 2θ from 5° to 70°, in order of rising 2θ:
- 5.218 Å, 17.0 deg, intensity 66, (0 0 2)
- 3.509 Å, 25.4 deg, intensity 23, (2 0 0)
- 3.061 Å, 29.2 deg, intensity 100, (1 2 1)
- 2.912 Å, 30.7 deg, intensity 52, (2 0 2)
- 2.356 Å, 38.2 deg, intensity 37, (1 2 3)
- 1.928 Å, 47.1 deg, intensity 23, (3 2 1)